Entry 1:
For CdPt3, DFT lattice parameters and positions (PBE) gives the calculated powder X-ray diffraction pattern in this record (CuKα).
No peak broadening, texture or thermal motion is included.

Most intense lines, 2θ from 10° to 90°, by angle:
2θ/deg  d [Å]  I (rel.)  h k l
38.4  2.342  100  2 2 0
38.6  2.330  99  0 2 1
44.3  2.045  67  2 0 1
45.8  1.982  31  0 4 0
65.6  1.423  42  2 4 1
77.5  1.232  26  4 2 1
77.9  1.227  26  2 2 2
79.7  1.203  12  2 6 0
79.9  1.201  12  0 6 1
82.3  1.171  11  4 4 0

abc: 5.8053 7.9284 2.8805
angles: 90.00 90.00 90.00
Space group Cmmm (No. 65)
Unique sites:
Cd 0.0000 0.0000 0.0000 (multiplicity 2)
Pt 0.0000 0.5000 0.0000 (multiplicity 2)
Pt 0.2500 0.2500 0.5000 (multiplicity 4)

=====

Entry 2:
For NpFe2Ge2, DFT lattice parameters and positions (PBE) gives the calculated powder X-ray diffraction pattern in this record (CuKα).
No peak broadening, texture or thermal motion is included.

Most intense lines, 2θ from 10° to 90°, by angle:
2θ/deg  d [Å]  I (rel.)  h k l
24.1  3.698  36  1 0 1
31.6  2.832  40  1 1 0
35.8  2.507  100  1 0 3
36.8  2.442  90  1 1 2
45.3  2.002  54  2 0 0
52.7  1.738  29  1 0 5
59.0  1.564  48  2 1 3
66.9  1.398  18  1 1 6
72.0  1.312  23  2 1 5
78.0  1.225  20  3 1 2

abc: 4.0044 4.0044 9.6436
angles: 90.00 90.00 90.00
Space group I4/mmm (No. 139)
Unique sites:
Np 0.0000 0.0000 0.0000 (multiplicity 2)
Fe 0.0000 0.5000 0.2500 (multiplicity 4)
Ge 0.0000 0.0000 0.3708 (multiplicity 4)

=====

Entry 3:
For Eu2Ti2O7, DFT lattice parameters and positions (PBE) gives the calculated powder X-ray diffraction pattern in this record (CuKα).
No peak broadening, texture or thermal motion is included.

Most intense lines, 2θ from 10° to 90°, by angle:
2θ/deg  d [Å]  I (rel.)  h k l
14.9  5.960  26  1 1 1
28.7  3.112  16  3 1 1
30.0  2.980  100  2 2 2
34.8  2.581  30  4 0 0
38.0  2.368  21  3 3 1
45.7  1.987  10  5 1 1
50.0  1.825  47  4 4 0
59.4  1.556  41  6 2 2
81.2  1.184  17  6 6 2
83.8  1.154  14  8 4 0

abc: 10.3224 10.3224 10.3224
angles: 90.00 90.00 90.00
Space group Fd-3m (No. 227, origin choice 2)
Unique sites:
Eu 0.0000 0.0000 0.0000 (multiplicity 16)
Ti 0.0000 0.0000 0.5000 (multiplicity 16)
O 0.0749 0.3750 0.8750 (multiplicity 48)
O 0.1250 0.1250 0.1250 (multiplicity 8)